No. 1
Starting from DFT lattice parameters and positions (GGA-PBE), the powder XRD pattern of Hf3ZrTi was computed for CuKα.

Most intense lines, 2θ from 10° to 90°, by angle:
h k l, d_spacing, Rel. int.
0 2 0, 6.062, 48
0 1 2, 2.772, 51
1 2 -1, 2.652, 97
0 2 2, 2.577, 48
1 1 1, 2.469, 83
1 3 0, 2.450, 66
0 5 0, 2.425, 62
1 3 -1, 2.382, 35
0 3 2, 2.328, 100
1 0 -2, 2.317, 30

Structural model:
```
data_Hf3ZrTi
_symmetry_space_group_name_H-M 'P 1 2/c 1'
_symmetry_Int_Tables_number 13
_symmetry_space_group_name_Hall '-P 2yc'
_cell_length_a 3.1360
_cell_length_b 12.1236
_cell_length_c 5.7961
_cell_angle_alpha 90.00
_cell_angle_beta 100.70
_cell_angle_gamma 90.00
loop_
_atom_site_label
_atom_site_type_symbol
_atom_site_fract_x
_atom_site_fract_y
_atom_site_fract_z
Hf1 Hf 0.0000 0.1290 0.2500
Hf2 Hf 0.3675 0.3160 0.9874
Zr1 Zr 0.5000 0.0896 0.7500
Ti1 Ti 0.0000 0.4840 0.2500
```

---

No. 2
Starting from DFT lattice parameters and positions (GGA-PBE), the powder XRD pattern of Hf4ZrTi was computed for CuKα.

Most intense lines, 2θ from 10° to 90°, by angle:
h k l, d_spacing, Rel. int.
0 2 0, 8.176, 19
1 3 1, 2.645, 47
0 6 1, 2.632, 26
0 0 4, 2.530, 50
1 3 2, 2.409, 100
0 6 2, 2.399, 41
1 3 3, 2.127, 24
1 9 0, 1.576, 23
1 3 6, 1.436, 20
1 9 4, 1.338, 26

Structural model:
```
data_Hf4ZrTi
_symmetry_space_group_name_H-M 'C m c 21'
_symmetry_Int_Tables_number 36
_symmetry_space_group_name_Hall 'C 2c -2'
_cell_length_a 3.1693
_cell_length_b 16.3517
_cell_length_c 10.1189
_cell_angle_alpha 90.00
_cell_angle_beta 90.00
_cell_angle_gamma 90.00
loop_
_atom_site_label
_atom_site_type_symbol
_atom_site_fract_x
_atom_site_fract_y
_atom_site_fract_z
Hf1 Hf 0.0000 0.0027 0.0000
Hf2 Hf 0.0000 0.1137 0.7520
Hf3 Hf 0.0000 0.3291 0.9964
Hf4 Hf 0.0000 0.4461 0.7494
Zr1 Zr 0.0000 0.2188 0.2404
Ti1 Ti 0.0000 0.3366 0.4948
```

---

No. 3
Starting from DFT lattice parameters and positions (GGA-PBE), the powder XRD pattern of Hf5Tl3 was computed for CuKα.

Most intense lines, 2θ from 10° to 90°, by angle:
h k l, d_spacing, Rel. int.
1 0 4, 2.601, 100
0 0 8, 2.292, 17
1 1 0, 2.233, 33
1 1 8, 1.599, 22
2 0 0, 1.579, 11
1 0 12, 1.375, 13
2 1 4, 1.350, 27
2 0 8, 1.300, 11
0 0 16, 1.146, 2
2 2 0, 1.117, 4

Structural model:
```
data_Hf5Tl3
_symmetry_space_group_name_H-M 'P 4/m m m'
_symmetry_Int_Tables_number 123
_symmetry_space_group_name_Hall '-P 4 2'
_cell_length_a 3.1582
_cell_length_b 3.1582
_cell_length_c 18.3338
_cell_angle_alpha 90.00
_cell_angle_beta 90.00
_cell_angle_gamma 90.00
loop_
_atom_site_label
_atom_site_type_symbol
_atom_site_fract_x
_atom_site_fract_y
_atom_site_fract_z
Hf1 Hf 0.0000 0.0000 0.0000
Hf2 Hf 0.0000 0.0000 0.2515
Hf3 Hf 0.5000 0.5000 0.3666
Tl1 Tl 0.0000 0.0000 0.5000
Tl2 Tl 0.5000 0.5000 0.1216
```

---

No. 4
Starting from DFT lattice parameters and positions (GGA-PBE), the powder XRD pattern of Hf5Tl2 was computed for CuKα.

Most intense lines, 2θ from 10° to 90°, by angle:
h k l, d_spacing, Rel. int.
1 1 0, 3.058, 16
1 1 1, 2.688, 22
3 1 -1, 2.651, 19
2 0 -3, 2.565, 100
6 0 -2, 2.470, 36
3 1 -2, 2.390, 22
3 1 1, 2.214, 14
1 1 2, 2.171, 13
0 2 0, 1.571, 13
2 2 -3, 1.340, 23

Structural model:
```
data_Hf5Tl2
_symmetry_space_group_name_H-M 'C 1 2/m 1'
_symmetry_Int_Tables_number 12
_symmetry_space_group_name_Hall '-C 2y'
_cell_length_a 15.1139
_cell_length_b 3.1420
_cell_length_c 7.7810
_cell_angle_alpha 90.00
_cell_angle_beta 118.10
_cell_angle_gamma 90.00
loop_
_atom_site_label
_atom_site_type_symbol
_atom_site_fract_x
_atom_site_fract_y
_atom_site_fract_z
Hf1 Hf 0.0000 0.0000 0.0000
Hf2 Hf 0.1529 0.5000 0.4351
Hf3 Hf 0.2263 0.5000 0.1516
Tl1 Tl 0.0706 0.5000 0.7286
```

---

No. 5
Starting from DFT lattice parameters and positions (GGA-PBE), the powder XRD pattern of Hf11Tl3 was computed for CuKα.

Most intense lines, 2θ from 10° to 90°, by angle:
h k l, d_spacing, Rel. int.
1 1 4, 2.720, 16
2 0 0, 2.551, 51
0 3 3, 2.535, 27
1 3 2, 2.443, 100
1 0 5, 2.420, 57
2 3 3, 1.798, 20
0 6 0, 1.522, 13
3 3 2, 1.451, 20
2 6 0, 1.307, 15
1 6 5, 1.288, 15

Structural model:
```
data_Hf11Tl3
_symmetry_space_group_name_H-M 'I m m m'
_symmetry_Int_Tables_number 71
_symmetry_space_group_name_Hall '-I 2 2'
_cell_length_a 5.1010
_cell_length_b 9.1326
_cell_length_c 13.7427
_cell_angle_alpha 90.00
_cell_angle_beta 90.00
_cell_angle_gamma 90.00
loop_
_atom_site_label
_atom_site_type_symbol
_atom_site_fract_x
_atom_site_fract_y
_atom_site_fract_z
Hf1 Hf 0.0000 0.0000 0.0000
Hf2 Hf 0.0000 0.1617 0.2806
Hf3 Hf 0.0000 0.3249 0.1014
Hf4 Hf 0.0000 0.5000 0.3041
Tl1 Tl 0.0000 0.0000 0.5000
Tl2 Tl 0.0000 0.3214 0.5000
```

---

No. 6
Starting from DFT lattice parameters and positions (GGA-PBE), the powder XRD pattern of TmHfTl was computed for CuKα.

Most intense lines, 2θ from 10° to 90°, by angle:
h k l, d_spacing, Rel. int.
1 0 3, 2.670, 100
1 1 0, 2.426, 39
0 0 6, 2.126, 13
2 0 0, 1.716, 14
1 1 6, 1.599, 21
2 1 3, 1.443, 31
2 0 6, 1.335, 12
1 0 9, 1.310, 11
2 2 0, 1.213, 4
3 0 3, 1.104, 7

Structural model:
```
data_TmHfTl
_symmetry_space_group_name_H-M 'I 4 m m'
_symmetry_Int_Tables_number 107
_symmetry_space_group_name_Hall 'I 4 -2'
_cell_length_a 3.4311
_cell_length_b 3.4311
_cell_length_c 12.7542
_cell_angle_alpha 90.00
_cell_angle_beta 90.00
_cell_angle_gamma 90.00
loop_
_atom_site_label
_atom_site_type_symbol
_atom_site_fract_x
_atom_site_fract_y
_atom_site_fract_z
Tm1 Tm 0.0000 0.0000 0.0000
Hf1 Hf 0.0000 0.0000 0.6696
Tl1 Tl 0.0000 0.0000 0.3274
```

---

No. 7
Starting from DFT lattice parameters and positions (GGA-PBE), the powder XRD pattern of Hf2TlV2 was computed for CuKα.

Most intense lines, 2θ from 10° to 90°, by angle:
h k l, d_spacing, Rel. int.
2 1 0, 3.185, 35
1 1 1, 3.016, 40
2 0 1, 2.588, 100
2 2 0, 2.518, 27
2 1 1, 2.432, 98
3 1 0, 2.252, 62
0 0 2, 1.883, 24
4 1 1, 1.570, 20
3 3 1, 1.533, 31
3 1 2, 1.445, 30

Structural model:
```
data_Hf2TlV2
_symmetry_space_group_name_H-M 'P 4/m b m'
_symmetry_Int_Tables_number 127
_symmetry_space_group_name_Hall '-P 4 2ab'
_cell_length_a 7.1227
_cell_length_b 7.1227
_cell_length_c 3.7659
_cell_angle_alpha 90.00
_cell_angle_beta 90.00
_cell_angle_gamma 90.00
loop_
_atom_site_label
_atom_site_type_symbol
_atom_site_fract_x
_atom_site_fract_y
_atom_site_fract_z
Hf1 Hf 0.1746 0.3254 0.0000
Tl1 Tl 0.0000 0.0000 0.5000
V1 V 0.1147 0.6147 0.5000
```

---

No. 8
Starting from DFT lattice parameters and positions (GGA-PBE), the powder XRD pattern of Hf2TlZn2 was computed for CuKα.

Most intense lines, 2θ from 10° to 90°, by angle:
h k l, d_spacing, Rel. int.
2 1 0, 3.371, 14
1 1 1, 2.841, 14
2 2 0, 2.665, 19
2 0 1, 2.507, 52
3 1 0, 2.381, 100
4 1 0, 1.828, 12
4 1 1, 1.606, 12
3 3 1, 1.571, 16
3 1 2, 1.373, 15
5 1 1, 1.353, 14

Structural model:
```
data_Hf2TlZn2
_symmetry_space_group_name_H-M 'P 4/m b m'
_symmetry_Int_Tables_number 127
_symmetry_space_group_name_Hall '-P 4 2ab'
_cell_length_a 7.5388
_cell_length_b 7.5388
_cell_length_c 3.3581
_cell_angle_alpha 90.00
_cell_angle_beta 90.00
_cell_angle_gamma 90.00
loop_
_atom_site_label
_atom_site_type_symbol
_atom_site_fract_x
_atom_site_fract_y
_atom_site_fract_z
Hf1 Hf 0.1777 0.3223 0.0000
Tl1 Tl 0.0000 0.0000 0.5000
Zn1 Zn 0.1170 0.6170 0.5000
```

---

No. 9
Starting from DFT lattice parameters and positions (GGA-PBE), the powder XRD pattern of HfZr7Tl3 was computed for CuKα.

Most intense lines, 2θ from 10° to 90°, by angle:
h k l, d_spacing, Rel. int.
2 0 0, 4.960, 23
0 2 1, 3.446, 65
2 0 -2, 2.598, 100
1 3 1, 2.493, 55
4 0 0, 2.480, 31
2 2 1, 2.463, 57
4 2 -1, 2.453, 57
2 4 -2, 1.838, 27
2 0 2, 1.799, 18
0 2 3, 1.474, 24

Structural model:
```
data_HfZr7Tl3
_symmetry_space_group_name_H-M 'C 1 2/m 1'
_symmetry_Int_Tables_number 12
_symmetry_space_group_name_Hall '-C 2y'
_cell_length_a 11.1723
_cell_length_b 10.3998
_cell_length_c 5.1951
_cell_angle_alpha 90.00
_cell_angle_beta 117.39
_cell_angle_gamma 90.00
loop_
_atom_site_label
_atom_site_type_symbol
_atom_site_fract_x
_atom_site_fract_y
_atom_site_fract_z
Hf1 Hf 0.0000 0.0000 0.0000
Zr1 Zr 0.0000 0.0000 0.5000
Zr2 Zr 0.1965 0.5000 0.6961
Zr3 Zr 0.2067 0.2949 0.2068
Tl1 Tl 0.0000 0.2794 0.5000
Tl2 Tl 0.0000 0.5000 0.0000
```

---

No. 10
Starting from DFT lattice parameters and positions (GGA-PBE), the powder XRD pattern of Hf4Zr5Tl2 was computed for CuKα.

Most intense lines, 2θ from 10° to 90°, by angle:
h k l, d_spacing, Rel. int.
0 0 2, 4.641, 17
1 3 0, 3.058, 14
1 3 2, 2.554, 100
2 0 0, 2.322, 38
0 6 0, 2.031, 13
2 0 4, 1.642, 13
2 6 0, 1.529, 20
3 3 2, 1.381, 28
2 6 4, 1.277, 11
1 9 2, 1.252, 10

Structural model:
```
data_Hf4Zr5Tl2
_symmetry_space_group_name_H-M 'C m m m'
_symmetry_Int_Tables_number 65
_symmetry_space_group_name_Hall '-C 2 2'
_cell_length_a 4.6469
_cell_length_b 12.1870
_cell_length_c 9.2813
_cell_angle_alpha 90.00
_cell_angle_beta 90.00
_cell_angle_gamma 90.00
loop_
_atom_site_label
_atom_site_type_symbol
_atom_site_fract_x
_atom_site_fract_y
_atom_site_fract_z
Hf1 Hf 0.0000 0.1630 0.2373
Zr1 Zr 0.0000 0.0000 0.5000
Zr2 Zr 0.0000 0.3228 0.5000
Zr3 Zr 0.0000 0.3381 0.0000
Tl1 Tl 0.0000 0.5000 0.2603
```

---

No. 11
Starting from DFT lattice parameters and positions (GGA-PBE), the powder XRD pattern of Hf2Zr8Tl3 was computed for CuKα.

Most intense lines, 2θ from 10° to 90°, by angle:
h k l, d_spacing, Rel. int.
0 1 5, 3.970, 36
1 1 0, 2.924, 80
1 1 6, 2.563, 56
0 1 11, 2.521, 100
2 0 2, 2.501, 41
2 0 5, 2.354, 43
0 2 7, 2.214, 26
1 2 11, 1.599, 49
2 2 0, 1.462, 31
3 1 11, 1.265, 23

Structural model:
```
data_Hf2Zr8Tl3
_symmetry_space_group_name_H-M 'R -3 m'
_symmetry_Int_Tables_number 166
_symmetry_space_group_name_Hall '-R 3 2"'
_cell_length_a 5.8477
_cell_length_b 5.8477
_cell_length_c 31.9765
_cell_angle_alpha 90.00
_cell_angle_beta 90.00
_cell_angle_gamma 120.00
loop_
_atom_site_label
_atom_site_type_symbol
_atom_site_fract_x
_atom_site_fract_y
_atom_site_fract_z
Hf1 Hf 0.0000 0.0000 0.1374
Zr1 Zr 0.0000 0.0000 0.2222
Zr2 Zr 0.0062 0.5031 0.7262
Tl1 Tl 0.0000 0.0000 0.3132
Tl2 Tl 0.0000 0.0000 0.5000
```

---

No. 12
Starting from DFT lattice parameters and positions (GGA-PBE), the powder XRD pattern of Hf5ZrTl3 was computed for CuKα.

Most intense lines, 2θ from 10° to 90°, by angle:
h k l, d_spacing, Rel. int.
2 1 3, 2.785, 62
2 0 4, 2.678, 100
2 2 0, 2.609, 49
3 1 0, 2.334, 21
2 1 5, 2.265, 14
2 0 6, 2.122, 15
3 2 1, 2.029, 15
3 1 4, 2.001, 14
0 0 8, 1.946, 15
4 2 4, 1.519, 25

Structural model:
```
data_Hf5ZrTl3
_symmetry_space_group_name_H-M 'I 4/m c m'
_symmetry_Int_Tables_number 140
_symmetry_space_group_name_Hall '-I 4 2c'
_cell_length_a 7.3799
_cell_length_b 7.3799
_cell_length_c 15.5654
_cell_angle_alpha 90.00
_cell_angle_beta 90.00
_cell_angle_gamma 90.00
loop_
_atom_site_label
_atom_site_type_symbol
_atom_site_fract_x
_atom_site_fract_y
_atom_site_fract_z
Hf1 Hf 0.0000 0.0000 0.0000
Hf2 Hf 0.2163 0.2837 0.1440
Zr1 Zr 0.0000 0.5000 0.2500
Tl1 Tl 0.0000 0.0000 0.2500
Tl2 Tl 0.1270 0.3730 0.5000
```